# MgSO9
Simulated powder diffraction line list, a wavelength of 1.5418 Å. Input: the PBE geometry in the Materials Project.
Neutral-atom scattering factors, no anomalous dispersion.

Peak list (10 most intense, 5 to 70 degrees two-theta, by angle)
13.8°, rel. 84
14.4°, rel. 83
14.9°, rel. 37
22.7°, rel. 100
23.5°, rel. 31
25.0°, rel. 39
25.7°, rel. 35
26.0°, rel. 33
28.8°, rel. 30
36.8°, rel. 34

Atomic structure:
```
11
Lattice="5.547 0.000 0.000 -1.076 6.873 0.000 -0.749 -3.164 6.415" Properties=species:S:1:pos:R:3 pbc="T T T"
Mg 0.000 0.000 0.000
S 0.804 2.015 6.242
O 0.206 1.887 0.329
O -0.417 2.543 5.571
O 0.918 -0.657 1.749
O 1.088 5.776 1.672
O 2.093 -0.312 4.612
O 1.956 2.954 6.061
O 3.296 -0.263 4.885
O 3.322 3.856 3.294
O 4.092 3.433 2.429
```